[1]
Diffraction record for CsHoCoI6. The X-ray powder pattern is computed, not measured: it uses a crystal structure in Alexandria, relaxed with PBE and a wavelength of 1.5418 Å.
Peak positions follow from Bragg's law for the DFT cell and can differ from measured ones.

Atomic structure:
```
CsHoCoI6
1.0
3.797 -6.599 0.000
3.797 6.599 0.000
-0.041 0.000 8.749
Cs Ho Co I
1 1 1 6
Cartesian
0.000 0.000 0.000
3.777 2.198 4.375
3.777 -2.209 4.375
1.491 -2.380 6.045
2.848 -0.125 2.681
4.707 -0.125 6.068
2.491 -4.089 2.713
5.063 -4.089 6.036
6.063 -2.380 2.705
```

Principal peaks in the range 2θ from 15° to 90°, sorted by position:
| two_theta | I_rel |
| --- | --- |
| 16.8 | 69 |
| 25.5 | 81 |
| 25.6 | 18 |
| 31.2 | 100 |
| 37.5 | 28 |
| 38.9 | 17 |
| 41.0 | 14 |
| 41.1 | 26 |
| 41.3 | 14 |
| 47.9 | 21 |
| 51.0 | 11 |
| 52.4 | 12 |


[2]
Diffraction record for PrTh2Pd7. The X-ray powder pattern is computed, not measured: it uses a crystal structure in Alexandria, relaxed with PBE and a wavelength of 1.5418 Å.
Peak positions follow from Bragg's law for the DFT cell and can differ from measured ones.

Atomic structure:
```
PrTh2Pd7
1.0
0.000 4.348 8.562
2.917 0.000 8.562
2.917 4.348 0.000
Pr Th Pd
1 2 7
Cartesian
0.000 0.000 0.000
2.917 4.348 5.664
2.917 4.348 11.459
1.459 2.174 1.462
1.459 2.174 4.281
1.459 2.174 7.100
2.917 4.348 8.562
4.376 6.522 10.024
4.376 6.522 12.843
4.376 6.522 15.662
```

Principal peaks in the range 2θ from 15° to 90°, sorted by position:
| two_theta | I_rel |
| --- | --- |
| 19.0 | 20 |
| 24.1 | 76 |
| 37.1 | 100 |
| 37.7 | 95 |
| 38.1 | 24 |
| 41.5 | 37 |
| 44.4 | 60 |
| 62.4 | 43 |
| 72.9 | 14 |
| 73.2 | 14 |
| 76.6 | 24 |
| 77.7 | 23 |


[3]
Diffraction record for LiSmNb4N8. The X-ray powder pattern is computed, not measured: it uses a crystal structure in Alexandria, relaxed with PBE and a wavelength of 1.5418 Å.
Peak positions follow from Bragg's law for the DFT cell and can differ from measured ones.

Atomic structure:
```
LiSmNb4N8
1.0
3.194 1.844 5.248
-3.194 1.844 5.248
0.000 -3.688 5.248
Li Sm Nb N
1 1 4 8
Cartesian
0.000 0.000 0.000
0.000 0.000 6.010
0.000 -1.778 2.585
-1.539 0.889 2.585
1.539 0.889 2.585
0.000 0.000 9.828
0.000 0.000 3.745
0.000 -2.104 6.792
-1.822 1.052 6.792
-1.565 -0.903 9.078
1.565 -0.903 9.078
0.000 1.807 9.078
0.000 0.000 11.974
1.822 1.052 6.792
```

Principal peaks in the range 2θ from 15° to 90°, sorted by position:
| two_theta | I_rel |
| --- | --- |
| 16.9 | 24 |
| 27.8 | 52 |
| 27.9 | 11 |
| 32.7 | 25 |
| 32.9 | 100 |
| 34.4 | 11 |
| 49.4 | 22 |
| 52.4 | 16 |
| 52.6 | 25 |
| 57.5 | 20 |
| 57.7 | 21 |
| 68.0 | 13 |